Diffraction record for NiH6Br2N2. The X-ray powder pattern is computed, not measured: it uses DFT lattice parameters and positions (GGA-PBE) and Cu Kα X-rays.
Lines closer than 0.1° are merged.

Main lines, low angle first (15 to 90 degrees two-theta):
21.05°, d 4.220, I = 89; 29.99°, d 2.979, I = 42; 31.32°, d 2.856, I = 100; 33.59°, d 2.668, I = 17; 36.99°, d 2.430, I = 37; 39.08°, d 2.305, I = 31; 40.58°, d 2.223, I = 25; 41.56°, d 2.173, I = 22; 42.88°, d 2.109, I = 36; 46.79°, d 1.941, I = 17; 52.43°, d 1.745, I = 21; 55.60°, d 1.653, I = 36

Crystal structure
```
NiH6Br2N2
1.0
4.2329 -4.2143 0.0000
4.2329 4.2143 0.0000
-0.3022 0.0000 3.8830
Ni H Br N
1 6 2 2
Cartesian
0.0000 0.0000 0.0000 Ni
2.3881 0.8315 0.6254 H
2.1699 0.0043 3.0923 H
2.3937 -0.8182 0.6288 H
5.7756 0.8315 3.2576 H
5.9938 0.0043 0.7906 H
5.7699 -0.8182 3.2542 H
4.0818 2.4212 1.9415 Br
4.0818 -2.4155 1.9415 Br
2.0288 0.0045 0.1312 N
6.1349 0.0045 3.7518 N
```